1.
In3CuS6: calculated X-ray diffraction stick pattern (a wavelength of 1.5418 Å), based on a cell relaxed with GGA-PBE.

Crystal structure
a = 7.6090 Å, b = 7.6090 Å, c = 7.6090 Å
α = 89.93°, β = 89.93°, γ = 89.93°
Fractional positions:
In (0.0572, 0.7424, 0.5758)
In (0.2576, 0.4242, 0.9428)
In (0.4242, 0.9428, 0.2576)
In (0.5758, 0.0572, 0.7424)
In (0.7424, 0.5758, 0.0572)
In (0.9428, 0.2576, 0.4242)
Cu (0.0000, 0.0000, 0.0000)
Cu (0.5000, 0.5000, 0.5000)
S (0.0481, 0.6986, 0.9119)
S (0.0881, 0.9519, 0.3014)
S (0.2013, 0.4243, 0.5785)
S (0.3014, 0.0881, 0.9519)
S (0.4215, 0.7987, 0.5757)
S (0.4243, 0.5785, 0.2013)
S (0.5757, 0.4215, 0.7987)
S (0.5785, 0.2013, 0.4243)
S (0.6986, 0.9119, 0.0481)
S (0.7987, 0.5757, 0.4215)
S (0.9119, 0.0481, 0.6986)
S (0.9519, 0.3014, 0.0881)

Main lines, by angle (2θ from 10° to 80°):
Position (°2θ), d (Å), intensity
20.2, 4.396, 46.1
23.4, 3.804, 16.4
26.2, 3.402, 100.0
28.7, 3.106, 28.4
37.4, 2.406, 66.4
44.6, 2.034, 65.1
49.4, 1.845, 26.6
50.9, 1.794, 12.9
52.4, 1.745, 16.4
53.9, 1.701, 13.1

***

2.
InCuSeS: calculated X-ray diffraction stick pattern (a wavelength of 1.5418 Å), based on a cell relaxed with GGA-PBE.

Crystal structure
a = 7.0468 Å, b = 7.0468 Å, c = 7.0468 Å
α = 132.20°, β = 132.14°, γ = 69.96°
Fractional positions:
In (0.1225, 0.3725, 0.7500)
In (0.3775, 0.1275, 0.2500)
Cu (0.6102, 0.8602, 0.7500)
Cu (0.8898, 0.6398, 0.2500)
Se (0.5380, 0.2500, 0.7880)
Se (0.9620, 0.7500, 0.7120)
S (0.2500, 0.5243, 0.2743)
S (0.7500, 0.9757, 0.2257)

Main lines, by angle (2θ from 10° to 80°):
Position (°2θ), d (Å), intensity
26.9, 3.310, 100.0
31.3, 2.857, 4.5
36.0, 2.495, 5.8
44.6, 2.031, 44.1
44.9, 2.020, 21.6
52.7, 1.738, 13.6
53.1, 1.724, 27.4
65.3, 1.428, 6.3
71.6, 1.317, 9.9
72.0, 1.311, 5.1

***

3.
Sm2InCuS5: calculated X-ray diffraction stick pattern (a wavelength of 1.5418 Å), based on a cell relaxed with GGA-PBE.

Crystal structure
a = 11.5381 Å, b = 3.8717 Å, c = 16.6423 Å
α = 90.00°, β = 90.00°, γ = 90.00°
Fractional positions:
Sm (0.0271, 0.2500, 0.1802)
Sm (0.1345, 0.7500, 0.5968)
Sm (0.3655, 0.2500, 0.0968)
Sm (0.4729, 0.7500, 0.6802)
Sm (0.5271, 0.2500, 0.3198)
Sm (0.6345, 0.7500, 0.9032)
Sm (0.8655, 0.2500, 0.4032)
Sm (0.9729, 0.7500, 0.8198)
In (0.1944, 0.7500, 0.3630)
In (0.3056, 0.2500, 0.8630)
In (0.6944, 0.7500, 0.1370)
In (0.8056, 0.2500, 0.6370)
Cu (0.0810, 0.7500, 0.9953)
Cu (0.4190, 0.2500, 0.4953)
Cu (0.5810, 0.7500, 0.5047)
Cu (0.9190, 0.2500, 0.0047)
S (0.0133, 0.2500, 0.6950)
S (0.0953, 0.2500, 0.9192)
S (0.1080, 0.2500, 0.4654)
S (0.1845, 0.7500, 0.1119)
S (0.2408, 0.7500, 0.7695)
S (0.2592, 0.2500, 0.2695)
S (0.3155, 0.2500, 0.6119)
S (0.3920, 0.7500, 0.9654)
S (0.4047, 0.7500, 0.4192)
S (0.4867, 0.7500, 0.1950)
S (0.5133, 0.2500, 0.8050)
S (0.5953, 0.2500, 0.5808)
S (0.6080, 0.2500, 0.0346)
S (0.6845, 0.7500, 0.3881)
S (0.7408, 0.7500, 0.7305)
S (0.7592, 0.2500, 0.2305)
S (0.8155, 0.2500, 0.8881)
S (0.8920, 0.7500, 0.5346)
S (0.9047, 0.7500, 0.0808)
S (0.9867, 0.7500, 0.3050)

Main lines, by angle (2θ from 10° to 80°):
Position (°2θ), d (Å), intensity
23.7, 3.747, 48.8
27.9, 3.198, 38.6
28.3, 3.159, 55.2
29.2, 3.061, 41.2
32.5, 2.752, 100.0
32.9, 2.725, 36.1
38.9, 2.313, 50.2
44.9, 2.021, 36.2
46.9, 1.936, 41.8
47.1, 1.928, 32.4

***

4.
TmIn4CuS8: calculated X-ray diffraction stick pattern (a wavelength of 1.5418 Å), based on a cell relaxed with GGA-PBE.

Crystal structure
a = 7.6658 Å, b = 7.6658 Å, c = 7.6658 Å
α = 60.42°, β = 60.42°, γ = 60.42°
Fractional positions:
Tm (0.0000, 0.0000, 0.0000)
In (0.4727, 0.9974, 0.9974)
In (0.6147, 0.6147, 0.6147)
In (0.9974, 0.4727, 0.9974)
In (0.9974, 0.9974, 0.4727)
Cu (0.3667, 0.3667, 0.3667)
S (0.2160, 0.7492, 0.7492)
S (0.2393, 0.2393, 0.2393)
S (0.2436, 0.2436, 0.7427)
S (0.2436, 0.7427, 0.2436)
S (0.7427, 0.2436, 0.2436)
S (0.7492, 0.2160, 0.7492)
S (0.7492, 0.7492, 0.2160)
S (0.7509, 0.7509, 0.7509)

Main lines, by angle (2θ from 10° to 80°):
Position (°2θ), d (Å), intensity
14.1, 6.292, 29.3
23.1, 3.857, 20.6
27.2, 3.283, 100.0
27.3, 3.266, 39.9
28.4, 3.146, 13.3
32.9, 2.719, 49.5
43.2, 2.095, 51.3
47.1, 1.929, 45.8
47.4, 1.916, 43.7
65.8, 1.419, 17.9